This entry pairs a crystal structure of Li8MnO5F with its theoretical PXRD pattern. Radiation: CuKα. Structure: a GGA+U-relaxed structure.
Peak positions follow from Bragg's law for the DFT cell and can differ from measured ones.

Structural model:
abc: 5.5280 5.5816 10.9977
angles: 89.54 89.59 61.86
Sites, in units of the cell vectors:
Li 0.0000 0.0000 0.0000
Li 0.0015 0.3296 0.1491
Li 0.0414 0.9067 0.6497
Li 0.0455 0.2353 0.4997
Li 0.3109 0.3027 0.6510
Li 0.3383 0.5894 0.1491
Li 0.3516 0.9502 0.3010
Li 0.3602 0.9434 0.7898
Li 0.3822 0.6349 0.5011
Li 0.4086 0.2470 0.0003
Li 0.6359 0.9843 0.4995
Li 0.6673 0.5952 0.9991
Li 0.6880 0.2825 0.2898
Li 0.6875 0.2846 0.8012
Li 0.7112 0.6410 0.6489
Li 0.7322 0.9278 0.1507
Mn 0.0163 0.6224 0.3593
Mn 0.0345 0.6131 0.8595
O 0.0040 0.9532 0.8255
O 0.0232 0.6165 0.5533
O 0.0268 0.6190 0.0529
O 0.0349 0.2878 0.3238
O 0.3471 0.2797 0.8279
O 0.3540 0.6048 0.3256
O 0.3543 0.9498 0.5914
O 0.6892 0.9456 0.3267
O 0.6913 0.2823 0.0912
O 0.7014 0.6175 0.8232
F 0.3591 0.9462 0.0883
F 0.6868 0.2851 0.5880

Largest 10 diffraction maxima, by angle, 10° ≤ 2θ ≤ 90°:
| hkl | 2θ (°) | Rel. int. |
| --- | --- | --- |
| 0 0 2 | 16.12 | 59 |
| 0 1 0 | 18.02 | 57 |
| 1 0 0 | 18.20 | 57 |
| 1 1 0 | 18.62 | 59 |
| 1 0 2 | 24.35 | 72 |
| 1 0 -2 | 24.45 | 37 |
| 1 1 2 | 24.62 | 37 |
| 1 1 -2 | 24.83 | 38 |
| 2 1 0 | 32.40 | 60 |
| 0 0 4 | 32.57 | 100 |